1.
This entry pairs a crystal structure of La2NdAl4 with its calculated powder XRD pattern. Radiation: λ = 1.5418 Å (Cu Kα). Structure: a crystal structure in Alexandria, relaxed with GGA-PBE.
Intensities are scaled so that the largest is 100.

Structural model:
```
La2NdAl4
1.0
3.7772 0.0000 0.0000
0.0000 4.6109 0.0000
0.0000 0.0000 20.6711
La Nd Al
4 2 8
Direct
0.0000 0.0000 0.1923 La
0.0000 0.0000 0.8077 La
0.5000 0.5000 0.3077 La
0.5000 0.5000 0.6923 La
0.0000 0.5000 0.0000 Nd
0.5000 0.0000 0.5000 Nd
0.0000 0.0000 0.3669 Al
0.0000 0.0000 0.6331 Al
0.0000 0.5000 0.4357 Al
0.0000 0.5000 0.5643 Al
0.5000 0.0000 0.0643 Al
0.5000 0.0000 0.9357 Al
0.5000 0.5000 0.1331 Al
0.5000 0.5000 0.8669 Al
```

Largest 6 diffraction maxima, by angle, 10° ≤ 2θ ≤ 90°:
2θ (°)  d/Å  I_rel
23.2  3.832  75
31.8  2.812  100
32.1  2.789  68
36.1  2.487  37
39.1  2.305  26
51.4  1.777  37

2.
This entry pairs a crystal structure of LaNd2Al2 with its calculated powder XRD pattern. Radiation: λ = 1.5418 Å (Cu Kα). Structure: a crystal structure in Alexandria, relaxed with GGA-PBE.
Intensities are scaled so that the largest is 100.

Structural model:
```
LaNd2Al2
1.0
12.9157 0.0000 0.0000
0.0000 3.8263 0.0000
-1.1747 0.0000 6.1054
La Nd Al
2 4 4
Direct
0.0000 0.0000 0.0000 La
0.5000 0.5000 0.0000 La
0.1358 0.5000 0.5674 Nd
0.3642 0.0000 0.4326 Nd
0.6358 0.0000 0.5674 Nd
0.8642 0.5000 0.4326 Nd
0.2091 0.5000 0.1081 Al
0.2909 0.0000 0.8919 Al
0.7091 0.0000 0.1081 Al
0.7909 0.5000 0.8919 Al
```

Largest 6 diffraction maxima, by angle, 10° ≤ 2θ ≤ 90°:
2θ (°)  d/Å  I_rel
22.0  4.034  38
27.7  3.220  99
29.1  3.064  100
29.3  3.053  39
31.5  2.837  97
34.2  2.619  38

3.
This entry pairs a crystal structure of La12NdAl3 with its calculated powder XRD pattern. Radiation: λ = 1.5418 Å (Cu Kα). Structure: a crystal structure in Alexandria, relaxed with GGA-PBE.
Intensities are scaled so that the largest is 100.

Structural model:
```
La12NdAl3
1.0
5.0214 0.0000 0.0000
0.0000 5.0214 0.0000
0.0000 0.0000 20.3676
La Nd Al
12 1 3
Direct
0.0000 0.0000 0.0000 La
0.0000 0.0000 0.2408 La
0.0000 0.0000 0.5000 La
0.0000 0.0000 0.7592 La
0.0000 0.5000 0.1215 La
0.0000 0.5000 0.3645 La
0.0000 0.5000 0.6355 La
0.0000 0.5000 0.8785 La
0.5000 0.0000 0.1215 La
0.5000 0.0000 0.3645 La
0.5000 0.0000 0.6355 La
0.5000 0.0000 0.8785 La
0.5000 0.5000 0.5000 Nd
0.5000 0.5000 0.0000 Al
0.5000 0.5000 0.2431 Al
0.5000 0.5000 0.7569 Al
```

Largest 6 diffraction maxima, by angle, 10° ≤ 2θ ≤ 90°:
2θ (°)  d/Å  I_rel
30.7  2.912  100
35.3  2.546  15
35.8  2.511  34
51.1  1.788  21
51.5  1.775  12
61.1  1.516  28

4.
This entry pairs a crystal structure of La5Nd12Al2 with its calculated powder XRD pattern. Radiation: λ = 1.5418 Å (Cu Kα). Structure: a crystal structure in Alexandria, relaxed with GGA-PBE.
Intensities are scaled so that the largest is 100.

Structural model:
```
La5Nd12Al2
1.0
9.2116 -4.0612 0.0000
9.2116 4.0612 0.0000
-2.9439 0.0000 8.6725
La Nd Al
5 12 2
Direct
0.0000 0.0000 0.0000 La
0.2520 0.2520 0.7251 La
0.3157 0.3157 0.3303 La
0.6843 0.6843 0.6697 La
0.7480 0.7480 0.2749 La
0.0528 0.0528 0.6667 Nd
0.0670 0.6651 0.6331 Nd
0.0801 0.6141 0.0291 Nd
0.3349 0.9330 0.3669 Nd
0.3859 0.9199 0.9709 Nd
0.4848 0.4848 0.8083 Nd
0.5152 0.5152 0.1917 Nd
0.6141 0.0801 0.0291 Nd
0.6651 0.0670 0.6331 Nd
0.9199 0.3859 0.9709 Nd
0.9330 0.3349 0.3669 Nd
0.9472 0.9472 0.3333 Nd
0.3382 0.6618 0.5000 Al
0.6618 0.3382 0.5000 Al
```

Largest 6 diffraction maxima, by angle, 10° ≤ 2θ ≤ 90°:
2θ (°)  d/Å  I_rel
27.6  3.235  30
29.3  3.044  31
29.6  3.016  53
30.1  2.969  100
31.0  2.881  38
32.5  2.754  28

5.
This entry pairs a crystal structure of La5NdAl3 with its calculated powder XRD pattern. Radiation: λ = 1.5418 Å (Cu Kα). Structure: a crystal structure in Alexandria, relaxed with GGA-PBE.
Intensities are scaled so that the largest is 100.

Structural model:
```
La5NdAl3
1.0
9.4385 0.0000 0.0000
-4.7192 8.1740 0.0000
0.0000 0.0000 7.0190
La Nd Al
10 2 6
Direct
0.0000 0.3365 0.2500 La
0.0000 0.6635 0.7500 La
0.3333 0.6667 0.0000 La
0.3333 0.6667 0.5000 La
0.3365 0.0000 0.2500 La
0.3365 0.3365 0.7500 La
0.6635 0.0000 0.7500 La
0.6635 0.6635 0.2500 La
0.6667 0.3333 0.0000 La
0.6667 0.3333 0.5000 La
0.0000 0.0000 0.0000 Nd
0.0000 0.0000 0.5000 Nd
0.0000 0.3284 0.7500 Al
0.0000 0.6716 0.2500 Al
0.3284 0.0000 0.7500 Al
0.3284 0.3284 0.2500 Al
0.6716 0.0000 0.2500 Al
0.6716 0.6716 0.7500 Al
```

Largest 6 diffraction maxima, by angle, 10° ≤ 2θ ≤ 90°:
2θ (°)  d/Å  I_rel
22.7  3.916  42
31.8  2.816  100
32.9  2.725  86
46.4  1.958  35
58.0  1.590  36
63.0  1.475  26

6.
This entry pairs a crystal structure of La2NdAl with its calculated powder XRD pattern. Radiation: λ = 1.5418 Å (Cu Kα). Structure: a crystal structure in Alexandria, relaxed with GGA-PBE.
Intensities are scaled so that the largest is 100.

Structural model:
```
La2NdAl
1.0
7.0271 0.0000 0.0000
0.0000 9.8351 0.0000
0.0000 0.0000 7.0287
La Nd Al
8 4 4
Direct
0.0000 0.0000 0.0000 La
0.0000 0.5000 0.0000 La
0.2500 0.2500 0.2500 La
0.2500 0.7500 0.7500 La
0.5000 0.0000 0.5000 La
0.5000 0.5000 0.5000 La
0.7500 0.2500 0.2500 La
0.7500 0.7500 0.7500 La
0.2500 0.2500 0.7500 Nd
0.2500 0.7500 0.2500 Nd
0.7500 0.2500 0.7500 Nd
0.7500 0.7500 0.2500 Nd
0.0000 0.0000 0.5000 Al
0.0000 0.5000 0.5000 Al
0.5000 0.0000 0.0000 Al
0.5000 0.5000 0.0000 Al
```

Largest 6 diffraction maxima, by angle, 10° ≤ 2θ ≤ 90°:
2θ (°)  d/Å  I_rel
31.3  2.859  100
36.2  2.485  34
36.5  2.459  16
52.3  1.748  23
62.0  1.497  28
62.5  1.486  14